(1)
Diffraction record for Nd5Y2Tl2. The powder XRD pattern is theoretical, not measured: it uses DFT lattice parameters and positions (PBE) and a wavelength of 1.5418 Å.

The 6 most intense peaks (5 to 70 degrees two-theta), low angle first:
27.6°, I 435
31.8°, I 1000
32.0°, I 813
33.0°, I 932
33.6°, I 669
60.4°, I 229

Structure:
a b c (Å): 11.417 11.417 11.417
angles (deg): 58.13 146.65 133.85
Positions (direct):
1 Nd 0.121 0.087 0.208
2 Nd 0.121 0.413 0.534
3 Nd 0.277 0.513 0.100
4 Nd 0.277 0.676 0.264
5 Nd 0.413 0.013 0.736
6 Nd 0.413 0.176 0.900
7 Nd 0.586 0.437 0.650
8 Nd 0.787 0.937 0.350
9 Nd 0.879 0.587 0.466
10 Nd 0.879 0.913 0.792
11 Y 0.529 0.081 0.308
12 Y 0.529 0.721 0.948
13 Y 0.773 0.221 0.692
14 Y 0.773 0.581 0.052
15 Tl 0.118 0.783 0.835
16 Tl 0.327 0.327 0.000
17 Tl 0.327 0.827 0.500
18 Tl 0.949 0.283 0.165

***

(2)
Diffraction record for NdYTl4. The powder XRD pattern is theoretical, not measured: it uses DFT lattice parameters and positions (PBE) and a wavelength of 1.5418 Å.

The 6 most intense peaks (5 to 70 degrees two-theta), low angle first:
32.0°, I 263
32.5°, I 1000
35.5°, I 201
48.5°, I 167
57.4°, I 201
61.8°, I 161

Structure:
a b c (Å): 3.770 3.770 12.167
angles (deg): 90.00 90.00 95.63
Positions (direct):
1 Nd 0.000 0.000 0.000
2 Y 0.500 0.500 0.500
3 Tl 0.000 0.000 0.333
4 Tl 0.000 0.000 0.667
5 Tl 0.500 0.500 0.176
6 Tl 0.500 0.500 0.824

***

(3)
Diffraction record for Nd3Y4Tl. The powder XRD pattern is theoretical, not measured: it uses DFT lattice parameters and positions (PBE) and a wavelength of 1.5418 Å.

The 6 most intense peaks (5 to 70 degrees two-theta), low angle first:
30.6°, I 1000
34.7°, I 385
37.1°, I 137
50.0°, I 137
51.7°, I 182
59.8°, I 295

Structure:
a b c (Å): 3.651 3.651 19.397
angles (deg): 90.00 90.00 90.00
Positions (direct):
1 Nd 0.000 0.000 0.000
2 Nd 0.000 0.000 0.263
3 Nd 0.000 0.000 0.737
4 Y 0.500 0.500 0.131
5 Y 0.500 0.500 0.394
6 Y 0.500 0.500 0.606
7 Y 0.500 0.500 0.869
8 Tl 0.000 0.000 0.500

***

(4)
Diffraction record for Nd4YTl3. The powder XRD pattern is theoretical, not measured: it uses DFT lattice parameters and positions (PBE) and a wavelength of 1.5418 Å.

The 6 most intense peaks (5 to 70 degrees two-theta), low angle first:
31.4°, I 1000
36.0°, I 350
37.0°, I 157
52.6°, I 229
61.8°, I 145
62.0°, I 144

Structure:
a b c (Å): 10.330 10.330 10.330
angles (deg): 152.11 152.05 39.90
Positions (direct):
1 Nd 0.130 0.130 0.000
2 Nd 0.368 0.368 0.000
3 Nd 0.632 0.632 0.000
4 Nd 0.870 0.870 0.000
5 Y 0.500 0.000 0.500
6 Tl 0.000 0.500 0.500
7 Tl 0.248 0.748 0.500
8 Tl 0.752 0.252 0.500